# 1
Zr2NbTc: computed X-ray powder pattern (Cu Kα (weighted mean of Kα1 and Kα2)), based on DFT lattice parameters and positions (GGA-PBE).
Peak positions follow from Bragg's law for the DFT cell and can differ from measured ones.

Peak list (10 most intense, 10 to 80 degrees two-theta, by angle)
| two_theta | I (rel.) | h k l |
| --- | --- | --- |
| 12.53 | 2 | 0 0 1 |
| 37.31 | 100 | 1 0 2 |
| 38.62 | 47 | 1 1 0 |
| 47.44 | 2 | 1 0 3 |
| 51.76 | 9 | 0 0 4 |
| 55.76 | 16 | 2 0 0 |
| 66.40 | 16 | 1 1 4 |
| 69.02 | 31 | 2 1 2 |
| 72.83 | 1 | 1 0 5 |
| 79.53 | 9 | 2 0 4 |

Atomic structure:
```
data_Zr2NbTc
_chemical_formula_sum 'Zr2 Nb1 Tc1'
_cell_length_a 3.2974
_cell_length_b 3.2974
_cell_length_c 7.0647
_cell_angle_alpha 90.00
_cell_angle_beta 90.00
_cell_angle_gamma 90.00
_symmetry_space_group_name_H-M 'P 4/m m m'
_symmetry_Int_Tables_number 123
_symmetry_space_group_name_Hall '-P 4 2'
loop_
_atom_site_label
_atom_site_fract_x
_atom_site_fract_y
_atom_site_fract_z
Zr1 0.0000 0.0000 0.2285
Nb1 0.5000 0.5000 0.5000
Tc1 0.5000 0.5000 0.0000
```

# 2
ZrNb3Tc4: computed X-ray powder pattern (Cu Kα (weighted mean of Kα1 and Kα2)), based on DFT lattice parameters and positions (GGA-PBE).
Peak positions follow from Bragg's law for the DFT cell and can differ from measured ones.

Peak list (3 most intense, 10 to 80 degrees two-theta, by angle)
| two_theta | I (rel.) | h k l |
| --- | --- | --- |
| 39.63 | 100 | 0 2 0 |
| 57.29 | 17 | 2 0 0 |
| 71.91 | 33 | 2 2 0 |

Atomic structure:
```
data_ZrNb3Tc4
_chemical_formula_sum 'Zr1 Nb3 Tc4'
_cell_length_a 3.2150
_cell_length_b 4.5514
_cell_length_c 9.0940
_cell_angle_alpha 90.00
_cell_angle_beta 90.00
_cell_angle_gamma 90.00
_symmetry_space_group_name_H-M 'P m m m'
_symmetry_Int_Tables_number 47
_symmetry_space_group_name_Hall '-P 2 2'
loop_
_atom_site_label
_atom_site_fract_x
_atom_site_fract_y
_atom_site_fract_z
Zr1 0.0000 0.0000 0.0000
Nb1 0.0000 0.0000 0.5000
Nb2 0.0000 0.5000 0.2516
Tc1 0.5000 0.0000 0.2577
Tc2 0.5000 0.5000 0.0000
Tc3 0.5000 0.5000 0.5000
```

# 3
ZrNbTc: computed X-ray powder pattern (Cu Kα (weighted mean of Kα1 and Kα2)), based on DFT lattice parameters and positions (GGA-PBE).
Peak positions follow from Bragg's law for the DFT cell and can differ from measured ones.

Peak list (10 most intense, 10 to 80 degrees two-theta, by angle)
| two_theta | I (rel.) | h k l |
| --- | --- | --- |
| 37.76 | 100 | 3 1 0 |
| 38.25 | 49 | 0 0 2 |
| 39.01 | 94 | 3 1 -2 |
| 39.36 | 46 | 0 2 0 |
| 54.78 | 16 | 6 0 -2 |
| 56.05 | 32 | 0 2 2 |
| 67.99 | 16 | 3 1 2 |
| 69.52 | 15 | 6 2 -2 |
| 70.31 | 15 | 3 3 0 |
| 70.46 | 23 | 3 1 -4 |

Atomic structure:
```
data_ZrNbTc
_chemical_formula_sum 'Zr4 Nb4 Tc4'
_cell_length_a 10.0645
_cell_length_b 4.5783
_cell_length_c 5.6599
_cell_angle_alpha 90.00
_cell_angle_beta 123.74
_cell_angle_gamma 90.00
_symmetry_space_group_name_H-M 'C 1 m 1'
_symmetry_Int_Tables_number 8
_symmetry_space_group_name_Hall 'C -2y'
loop_
_atom_site_label
_atom_site_fract_x
_atom_site_fract_y
_atom_site_fract_z
Zr1 0.0000 0.0000 0.0000
Zr2 0.1918 0.5000 0.0171
Nb1 0.1596 0.5000 0.4885
Nb2 0.3459 0.0000 0.5074
Tc1 0.0105 0.0000 0.5095
Tc2 0.3435 0.0000 0.0014
```

# 4
Nb3Te: computed X-ray powder pattern (Cu Kα (weighted mean of Kα1 and Kα2)), based on DFT lattice parameters and positions (GGA-PBE).
Peak positions follow from Bragg's law for the DFT cell and can differ from measured ones.

Peak list (10 most intense, 10 to 80 degrees two-theta, by angle)
| two_theta | I (rel.) | h k l |
| --- | --- | --- |
| 23.77 | 3 | 1 1 0 |
| 33.87 | 45 | 2 0 0 |
| 38.01 | 99 | 2 1 0 |
| 41.80 | 100 | 2 1 1 |
| 48.65 | 1 | 2 2 0 |
| 54.84 | 1 | 3 1 0 |
| 60.59 | 6 | 2 2 2 |
| 63.35 | 21 | 3 2 0 |
| 66.03 | 50 | 3 2 1 |
| 71.25 | 17 | 4 0 0 |

Atomic structure:
```
data_Nb3Te
_chemical_formula_sum 'Nb6 Te2'
_cell_length_a 5.2938
_cell_length_b 5.2938
_cell_length_c 5.2938
_cell_angle_alpha 90.00
_cell_angle_beta 90.00
_cell_angle_gamma 90.00
_symmetry_space_group_name_H-M 'P m -3 n'
_symmetry_Int_Tables_number 223
_symmetry_space_group_name_Hall '-P 4n 2 3'
loop_
_atom_site_label
_atom_site_fract_x
_atom_site_fract_y
_atom_site_fract_z
Nb1 0.0000 0.2500 0.5000
Te1 0.0000 0.0000 0.0000
```

# 5
NbTe4: computed X-ray powder pattern (Cu Kα (weighted mean of Kα1 and Kα2)), based on DFT lattice parameters and positions (GGA-PBE).
Peak positions follow from Bragg's law for the DFT cell and can differ from measured ones.

Peak list (10 most intense, 10 to 80 degrees two-theta, by angle)
| two_theta | I (rel.) | h k l |
| --- | --- | --- |
| 13.39 | 33 | 1 0 0 |
| 25.68 | 28 | 0 0 2 |
| 32.12 | 21 | 1 1 2 |
| 32.92 | 100 | 2 1 1 |
| 37.58 | 22 | 2 0 2 |
| 40.06 | 12 | 2 1 2 |
| 43.27 | 20 | 3 1 0 |
| 50.07 | 30 | 2 1 3 |
| 59.12 | 10 | 4 1 1 |
| 65.67 | 13 | 3 3 2 |

Atomic structure:
```
data_NbTe4
_chemical_formula_sum 'Nb2 Te8'
_cell_length_a 6.6126
_cell_length_b 6.6126
_cell_length_c 6.9391
_cell_angle_alpha 90.00
_cell_angle_beta 90.00
_cell_angle_gamma 90.00
_symmetry_space_group_name_H-M 'P 4/m c c'
_symmetry_Int_Tables_number 124
_symmetry_space_group_name_Hall '-P 4 2c'
loop_
_atom_site_label
_atom_site_fract_x
_atom_site_fract_y
_atom_site_fract_z
Nb1 0.0000 0.0000 0.2500
Te1 0.1413 0.3231 0.0000
```

# 6
NbTe4: computed X-ray powder pattern (Cu Kα (weighted mean of Kα1 and Kα2)), based on DFT lattice parameters and positions (GGA-PBE).
Peak positions follow from Bragg's law for the DFT cell and can differ from measured ones.

Peak list (10 most intense, 10 to 80 degrees two-theta, by angle)
| two_theta | I (rel.) | h k l |
| --- | --- | --- |
| 13.41 | 35 | 1 1 0 |
| 25.51 | 30 | 0 0 6 |
| 32.00 | 20 | 2 0 6 |
| 32.92 | 100 | 3 1 3 |
| 37.48 | 22 | 2 2 6 |
| 39.98 | 11 | 3 1 6 |
| 43.32 | 20 | 4 2 0 |
| 49.87 | 34 | 3 1 9 |
| 65.67 | 12 | 6 0 6 |
| 75.24 | 10 | 3 1 15 |

Atomic structure:
```
data_NbTe4
_chemical_formula_sum 'Nb12 Te48'
_cell_length_a 9.3405
_cell_length_b 9.3405
_cell_length_c 20.9523
_cell_angle_alpha 90.00
_cell_angle_beta 90.00
_cell_angle_gamma 90.00
_symmetry_space_group_name_H-M 'P 4/n c c'
_symmetry_Int_Tables_number 130
loop_
_symmetry_equiv_pos_as_xyz
'x,y,z'
'-x,-y,-z'
'-y+1/2,x,z'
'y+1/2,-x,-z'
'-x+1/2,-y+1/2,z'
'x+1/2,y+1/2,-z'
'y,-x+1/2,z'
'-y,x+1/2,-z'
'x+1/2,-y,-z+1/2'
'-x+1/2,y,z+1/2'
'-y,-x,-z+1/2'
'y,x,z+1/2'
'-x,y+1/2,-z+1/2'
'x,-y+1/2,z+1/2'
'y+1/2,x+1/2,-z+1/2'
'-y+1/2,-x+1/2,z+1/2'
loop_
_atom_site_label
_atom_site_fract_x
_atom_site_fract_y
_atom_site_fract_z
Nb1 0.2500 0.2500 0.0693
Nb2 0.2500 0.2500 0.2632
Nb3 0.2500 0.2500 0.4156
Te1 0.0080 0.1661 0.3356
Te2 0.0121 0.1579 0.9967
Te3 0.0349 0.1536 0.6661
```

# 7
NbTlTe4: computed X-ray powder pattern (Cu Kα (weighted mean of Kα1 and Kα2)), based on DFT lattice parameters and positions (GGA-PBE).
Peak positions follow from Bragg's law for the DFT cell and can differ from measured ones.

Peak list (10 most intense, 10 to 80 degrees two-theta, by angle)
| two_theta | I (rel.) | h k l |
| --- | --- | --- |
| 11.82 | 43 | 1 1 0 |
| 23.76 | 74 | 2 2 0 |
| 27.82 | 100 | 4 0 1 |
| 28.32 | 100 | 2 2 1 |
| 31.10 | 82 | 2 0 -2 |
| 33.97 | 80 | 4 2 -1 |
| 36.36 | 91 | 0 2 2 |
| 36.91 | 58 | 6 0 -1 |
| 42.36 | 33 | 0 4 0 |
| 51.47 | 45 | 8 2 0 |

Atomic structure:
```
data_NbTlTe4
_chemical_formula_sum 'Nb4 Tl4 Te16'
_cell_length_a 15.6259
_cell_length_b 8.5350
_cell_length_c 6.0680
_cell_angle_alpha 90.00
_cell_angle_beta 92.90
_cell_angle_gamma 90.00
_symmetry_space_group_name_H-M 'C 1 2/m 1'
_symmetry_Int_Tables_number 12
_symmetry_space_group_name_Hall '-C 2y'
loop_
_atom_site_label
_atom_site_fract_x
_atom_site_fract_y
_atom_site_fract_z
Nb1 0.0167 0.0000 0.2665
Tl1 0.1977 0.5000 0.2330
Te1 0.0000 0.2718 0.0000
Te2 0.1121 0.2068 0.5951
Te3 0.1986 0.0000 0.2396
```

# 8
NbV2Te5: computed X-ray powder pattern (Cu Kα (weighted mean of Kα1 and Kα2)), based on DFT lattice parameters and positions (GGA-PBE).
Peak positions follow from Bragg's law for the DFT cell and can differ from measured ones.

Peak list (10 most intense, 10 to 80 degrees two-theta, by angle)
| two_theta | I (rel.) | h k l |
| --- | --- | --- |
| 12.82 | 100 | 0 2 0 |
| 17.38 | 76 | 1 1 0 |
| 24.79 | 56 | 1 1 1 |
| 29.23 | 48 | 0 4 1 |
| 30.91 | 56 | 1 3 1 |
| 31.51 | 79 | 2 0 -1 |
| 33.70 | 62 | 1 3 -2 |
| 37.82 | 57 | 0 4 2 |
| 41.24 | 77 | 0 0 3 |
| 47.38 | 55 | 2 4 1 |

Atomic structure:
```
data_NbV2Te5
_chemical_formula_sum 'Nb2 V4 Te10'
_cell_length_a 5.7308
_cell_length_b 13.8090
_cell_length_c 6.8520
_cell_angle_alpha 90.00
_cell_angle_beta 106.66
_cell_angle_gamma 90.00
_symmetry_space_group_name_H-M 'C 1 2/m 1'
_symmetry_Int_Tables_number 12
_symmetry_space_group_name_Hall '-C 2y'
loop_
_atom_site_label
_atom_site_fract_x
_atom_site_fract_y
_atom_site_fract_z
Nb1 0.0000 0.0000 0.0000
V1 0.1849 0.0000 0.6270
Te1 0.0000 0.5000 0.0000
Te2 0.1358 0.1350 0.3173
```